Starting from DFT lattice parameters and positions (GGA-PBE), the PXRD pattern of Ag6GeAu10 was simulated for a wavelength of 1.5418 Å.
Intensities are scaled so that the largest is 100.

Crystal structure
```
data_Ag6GeAu10
_cell_length_a 8.1720
_cell_length_b 8.1720
_cell_length_c 5.4959
_cell_angle_alpha 90.00
_cell_angle_beta 90.00
_cell_angle_gamma 120.00
_symmetry_space_group_name_H-M 'P -3 1 m'
_symmetry_Int_Tables_number 162
_symmetry_space_group_name_Hall '-P 3 2'
loop_
_atom_site_label
_atom_site_type_symbol
_atom_site_fract_x
_atom_site_fract_y
_atom_site_fract_z
Ag1 Ag 0.0000 0.3880 0.2801
Ge1 Ge 0.0000 0.0000 0.5000
Au1 Au 0.0000 0.2593 0.7985
Au2 Au 0.3333 0.6667 0.0000
Au3 Au 0.3333 0.6667 0.5000
```

The 6 most intense peaks (2θ from 5° to 70°), sorted by position:
Position (°2θ), I (rel.), h k l
33.5, 27, 2 1 0
37.4, 83, 3 -1 1
38.1, 70, 3 0 0
39.5, 100, 1 1 2
56.1, 24, 4 -2 2
59.4, 17, 3 2 1